Structure and theoretical PXRD pattern of Cr10Fe5O24 (a crystal structure in the Materials Project, relaxed with GGA+U; Cu Kα (weighted mean of Kα1 and Kα2)).
Kinematic intensities with the Lorentz-polarization factor, no thermal factor.

Largest 10 diffraction maxima, low angle first, 2θ from 10° to 90°:
h k l	Position (°2θ)	intensity
1 1 -1	18.14	68
1 1 2	20.98	25
0 2 0	29.84	14
3 1 3	35.14	100
2 2 -2	36.76	15
2 2 4	42.71	48
5 1 -5	56.46	40
0 4 0	61.99	52
5 3 -5	73.30	10
3 5 -3	88.73	15

Crystal structure
Cell lengths 10.376, 5.986, 14.669 Å; angles 90.00, 90.03, 90.00 degrees
Space group Cm (No. 8)
Unique sites:
Cr (0.000, 0.000, 0.000)
Cr (0.006, 0.500, 0.507)
Cr (0.091, 0.243, 0.333)
Cr (0.172, 0.000, 0.171)
Cr (0.257, 0.257, 0.000)
Cr (0.334, 0.000, 0.334)
Cr (0.422, 0.244, 0.667)
Fe (0.005, 0.500, 0.125)
Fe (0.167, 0.500, 0.667)
Fe (0.171, 0.000, 0.794)
Fe (0.338, 0.500, 0.838)
Fe (0.339, 0.500, 0.459)
O (0.005, 0.500, 0.258)
O (0.008, 0.500, 0.735)
O (0.027, 0.000, 0.258)
O (0.078, 0.281, 0.588)
O (0.093, 0.235, 0.081)
O (0.162, 0.500, 0.415)
O (0.171, 0.000, 0.400)
O (0.171, 0.000, 0.925)
O (0.192, 0.500, 0.922)
O (0.243, 0.216, 0.257)
O (0.261, 0.265, 0.749)
O (0.328, 0.000, 0.081)
O (0.338, 0.500, 0.068)
O (0.338, 0.500, 0.592)
O (0.360, 0.000, 0.589)
O (0.411, 0.281, 0.922)
O (0.428, 0.234, 0.416)
O (0.494, 0.500, 0.749)